Theoretical powder XRD pattern of Rb2SnO12 for Cu Kα (λ = 1.5418 Å), from the GGA-PBE geometry in Alexandria.

Peak list (10 most intense, 10° ≤ 2θ ≤ 90°, in order of rising 2θ)
| (hkl) | d [Å] | 2theta | I_rel |
| --- | --- | --- | --- |
| 1 0 0 | 6.452 | 13.7 | 18 |
| 1 0 2 | 4.113 | 21.6 | 95 |
| 1 1 0 | 3.725 | 23.9 | 69 |
| 0 2 2 | 2.761 | 32.4 | 100 |
| 0 1 4 | 2.467 | 36.4 | 29 |
| 2 1 2 | 2.218 | 40.7 | 45 |
| 3 0 0 | 2.151 | 42.0 | 24 |
| 2 0 4 | 2.057 | 44.0 | 33 |
| 1 2 4 | 1.800 | 50.7 | 28 |
| 1 3 2 | 1.697 | 54.1 | 19 |

Structural model:
Lattice parameters (Å, degrees): 7.450 7.450 10.678 90.00 90.00 120.00
Atoms (fractional coordinates):
Rb (0.333, 0.667, 0.357)
Rb (0.333, 0.667, 0.857)
Rb (0.667, 0.333, 0.143)
Rb (0.667, 0.333, 0.643)
Sn (0.000, 0.000, 0.000)
Sn (0.000, 0.000, 0.500)
O (0.077, 0.272, 0.117)
O (0.077, 0.805, 0.617)
O (0.118, 0.399, 0.626)
O (0.118, 0.719, 0.126)
O (0.195, 0.272, 0.617)
O (0.195, 0.923, 0.117)
O (0.272, 0.077, 0.383)
O (0.272, 0.195, 0.883)
O (0.281, 0.399, 0.126)
O (0.281, 0.882, 0.626)
O (0.399, 0.118, 0.874)
O (0.399, 0.281, 0.374)
O (0.601, 0.719, 0.626)
O (0.601, 0.882, 0.126)
O (0.719, 0.118, 0.374)
O (0.719, 0.601, 0.874)
O (0.728, 0.805, 0.117)
O (0.728, 0.923, 0.617)
O (0.805, 0.077, 0.883)
O (0.805, 0.728, 0.383)
O (0.882, 0.281, 0.874)
O (0.882, 0.601, 0.374)
O (0.923, 0.195, 0.383)
O (0.923, 0.728, 0.883)